# 1
Structure and calculated PXRD pattern of Co6P4H (a cell relaxed with PBE; Cu Ka).
Intensities are scaled so that the largest is 1000.

Principal peaks in the range 2θ = 15–90°, in order of rising 2θ:
2theta, I (rel.)
15.62, 617
32.00, 341
42.14, 221
42.50, 1000
48.11, 354
51.21, 779
56.16, 268
57.32, 207
78.02, 148
84.45, 159

Structure:
abc: 6.5512 6.5512 3.2147
angles: 90.00 90.00 120.00
Fractional coordinates of all 11 atoms:
Co 0.0600 0.5300 0.0000
Co 0.1304 0.2609 0.5000
Co 0.1304 0.8696 0.5000
Co 0.4700 0.5300 0.0000
Co 0.4700 0.9400 0.0000
Co 0.7391 0.8696 0.5000
P 0.3027 0.1513 0.0000
P 0.3333 0.6667 0.5000
P 0.8487 0.1513 0.0000
P 0.8487 0.6973 0.0000
H 0.6667 0.3333 0.5000


# 2
Structure and calculated PXRD pattern of NbB4Pb (a cell relaxed with PBE; Cu Ka).
Intensities are scaled so that the largest is 1000.

Principal peaks in the range 2θ = 15–90°, in order of rising 2θ:
2theta, I (rel.)
20.15, 692
33.47, 646
35.03, 189
39.38, 1000
53.90, 377
59.83, 163
63.81, 201
73.56, 142
74.01, 158
75.07, 143

Structure:
abc: 3.0916 3.0916 8.8115
angles: 90.00 90.00 120.00
Fractional coordinates of all 6 atoms:
Nb 0.0000 0.0000 0.0000
B 0.3333 0.6667 0.1877
B 0.3333 0.6667 0.8123
B 0.6667 0.3333 0.1877
B 0.6667 0.3333 0.8123
Pb 0.0000 0.0000 0.5000


# 3
Structure and calculated PXRD pattern of Ba2Tm2Sb2O (a cell relaxed with PBE; Cu Ka).
Intensities are scaled so that the largest is 1000.

Principal peaks in the range 2θ = 15–90°, in order of rising 2θ:
2theta, I (rel.)
17.94, 99
27.09, 1000
30.36, 122
35.24, 688
36.35, 127
45.01, 255
51.53, 269
58.42, 232
63.25, 125
75.21, 117

Structure:
abc: 5.0931 5.0931 19.7726
angles: 90.00 90.00 120.00
Fractional coordinates of all 14 atoms:
Ba 0.0000 0.0000 0.0000
Ba 0.0000 0.0000 0.2500
Ba 0.0000 0.0000 0.5000
Ba 0.0000 0.0000 0.7500
Tm 0.3333 0.6667 0.1429
Tm 0.3333 0.6667 0.3571
Tm 0.6667 0.3333 0.6429
Tm 0.6667 0.3333 0.8571
Sb 0.3333 0.6667 0.6090
Sb 0.3333 0.6667 0.8910
Sb 0.6667 0.3333 0.1090
Sb 0.6667 0.3333 0.3910
O 0.3333 0.6667 0.2500
O 0.6667 0.3333 0.7500


# 4
Structure and calculated PXRD pattern of Ni4W25 (a cell relaxed with PBE; Cu Ka).
Intensities are scaled so that the largest is 1000.

Principal peaks in the range 2θ = 15–90°, in order of rising 2θ:
2theta, I (rel.)
22.22, 92
36.69, 137
39.00, 1000
43.31, 411
45.34, 107
47.30, 327
67.60, 126
70.64, 255
72.14, 116
83.76, 97

Structure:
abc: 8.4861 8.4861 8.4861
angles: 109.47 109.47 109.47
Fractional coordinates of all 29 atoms:
Ni 0.0000 0.0000 0.6617
Ni 0.0000 0.6617 0.0000
Ni 0.3383 0.3383 0.3383
Ni 0.6617 0.0000 0.0000
W 0.0000 0.0000 0.0000
W 0.0000 0.1949 0.3810
W 0.0000 0.3810 0.1949
W 0.0000 0.4097 0.6889
W 0.0000 0.6889 0.4097
W 0.1861 0.8051 0.8051
W 0.1949 0.0000 0.3810
W 0.1949 0.3810 0.0000
W 0.2793 0.5903 0.5903
W 0.3111 0.3111 0.7207
W 0.3111 0.7207 0.3111
W 0.3810 0.0000 0.1949
W 0.3810 0.1949 0.0000
W 0.4097 0.0000 0.6889
W 0.4097 0.6889 0.0000
W 0.5903 0.2793 0.5903
W 0.5903 0.5903 0.2793
W 0.6190 0.6190 0.8139
W 0.6190 0.8139 0.6190
W 0.6889 0.0000 0.4097
W 0.6889 0.4097 0.0000
W 0.7207 0.3111 0.3111
W 0.8051 0.1861 0.8051
W 0.8051 0.8051 0.1861
W 0.8139 0.6190 0.6190


# 5
Structure and calculated PXRD pattern of GaFeI6 (a cell relaxed with PBE; Cu Ka).
Intensities are scaled so that the largest is 1000.

Principal peaks in the range 2θ = 15–90°, in order of rising 2θ:
2theta, I (rel.)
21.09, 330
21.86, 754
22.09, 270
25.12, 622
25.77, 777
26.00, 613
26.34, 1000
35.12, 372
46.72, 332
46.85, 517

Structure:
abc: 8.1246 8.1246 8.0479
angles: 119.48 119.48 62.47
Fractional coordinates of all 8 atoms:
Ga 0.0000 0.0000 0.0000
Fe 0.2989 0.2989 0.1510
I 0.3430 0.3430 0.8919
I 0.3889 0.9142 0.0761
I 0.4726 0.4726 0.5095
I 0.8287 0.8287 0.6309
I 0.9142 0.3889 0.0761
I 0.9613 0.9613 0.2705


# 6
Structure and calculated PXRD pattern of K2NpP2 (a cell relaxed with PBE; Cu Ka).
Intensities are scaled so that the largest is 1000.

Principal peaks in the range 2θ = 15–90°, in order of rising 2θ:
2theta, I (rel.)
20.51, 1000
26.59, 505
28.62, 430
29.44, 791
34.05, 928
35.47, 677
38.59, 628
38.80, 421
43.71, 463
52.92, 346

Structure:
abc: 9.1439 9.1439 5.5383
angles: 90.00 90.00 136.98
Fractional coordinates of all 10 atoms:
K 0.1084 0.8916 0.7500
K 0.2764 0.7236 0.2500
K 0.7236 0.2764 0.7500
K 0.8916 0.1084 0.2500
Np 0.5000 0.5000 0.0000
Np 0.5000 0.5000 0.5000
P 0.2023 0.4587 0.7500
P 0.4587 0.2023 0.2500
P 0.5413 0.7977 0.7500
P 0.7977 0.5413 0.2500


# 7
Structure and calculated PXRD pattern of Er3GaCo3 (a cell relaxed with PBE; Cu Ka).
Intensities are scaled so that the largest is 1000.

Principal peaks in the range 2θ = 15–90°, in order of rising 2θ:
2theta, I (rel.)
27.65, 305
31.85, 742
33.33, 591
35.12, 964
36.99, 1000
41.18, 681
42.17, 343
42.36, 257
44.99, 495
57.13, 261

Structure:
abc: 5.3502 5.3502 12.8014
angles: 90.00 90.00 135.75
Fractional coordinates of all 14 atoms:
Er 0.0057 0.9943 0.7500
Er 0.2936 0.7064 0.6042
Er 0.2936 0.7064 0.8958
Er 0.7064 0.2936 0.1042
Er 0.7064 0.2936 0.3958
Er 0.9943 0.0057 0.2500
Ga 0.0000 0.0000 0.0000
Ga 0.0000 0.0000 0.5000
Co 0.2917 0.7083 0.2500
Co 0.4158 0.5842 0.0952
Co 0.4158 0.5842 0.4048
Co 0.5842 0.4158 0.5952
Co 0.5842 0.4158 0.9048
Co 0.7083 0.2917 0.7500


# 8
Structure and calculated PXRD pattern of Tb2YNi2B2N3 (a cell relaxed with PBE; Cu Ka).
Intensities are scaled so that the largest is 1000.

Principal peaks in the range 2θ = 15–90°, in order of rising 2θ:
2theta, I (rel.)
25.96, 276
28.89, 1000
34.06, 890
35.74, 661
36.47, 440
37.59, 400
40.79, 882
52.54, 473
64.10, 295
65.17, 432

Structure:
abc: 10.3457 10.3457 10.3457
angles: 160.61 160.61 27.55
Fractional coordinates of all 10 atoms:
Tb 0.1233 0.1233 0.0000
Tb 0.8767 0.8767 0.0000
Y 0.5000 0.5000 0.0000
Ni 0.2500 0.7500 0.5000
Ni 0.7500 0.2500 0.5000
B 0.3105 0.3105 0.0000
B 0.6895 0.6895 0.0000
N 0.0000 0.0000 0.0000
N 0.3831 0.3831 0.0000
N 0.6169 0.6169 0.0000


# 9
Structure and calculated PXRD pattern of CdCu2S3 (a cell relaxed with PBE; Cu Ka).
Intensities are scaled so that the largest is 1000.

Principal peaks in the range 2θ = 15–90°, in order of rising 2θ:
2theta, I (rel.)
28.39, 1000
32.79, 114
33.11, 59
46.94, 93
47.17, 98
47.29, 362
55.79, 136
55.95, 134
56.29, 127
76.23, 72

Structure:
abc: 6.6902 6.6902 6.6902
angles: 146.52 59.54 132.29
Fractional coordinates of all 6 atoms:
Cd 0.0000 0.0000 0.0000
Cu 0.3476 0.0172 0.3304
Cu 0.6868 0.0172 0.6696
S 0.3087 0.8087 0.5000
S 0.5545 0.7373 0.8172
S 0.9201 0.7373 0.1828